(1)
Structure and simulated PXRD pattern of Sr2Y2Fe2O7 (DFT lattice parameters and positions (PBE+U); λ = 1.5418 Å (Cu Kα)).
Lines closer than 0.1° are merged.

Crystal structure
abc: 12.6340 12.6340 12.6340
angles: 37.43 153.39 154.16
Positions (direct):
Sr (0.0292, 0.1437, 0.1729)
Sr (0.0292, 0.3563, 0.3854)
Sr (0.9708, 0.6437, 0.6146)
Sr (0.9708, 0.8563, 0.8271)
Y (0.0023, 0.0023, 0.0000)
Y (0.0023, 0.5023, 0.5000)
Y (0.4198, 0.7226, 0.1972)
Y (0.5254, 0.2226, 0.8028)
Fe (0.5015, 0.5842, 0.0691)
Fe (0.5015, 0.9324, 0.4173)
Fe (0.5151, 0.0842, 0.5827)
Fe (0.5151, 0.4324, 0.9309)
O (0.0033, 0.3682, 0.7662)
O (0.0033, 0.7372, 0.1351)
O (0.0343, 0.1734, 0.7402)
O (0.0343, 0.7941, 0.3609)
O (0.1745, 0.8348, 0.8397)
O (0.4332, 0.2941, 0.2598)
O (0.4332, 0.6734, 0.6391)
O (0.5024, 0.2269, 0.6097)
O (0.5024, 0.3927, 0.7754)
O (0.6020, 0.2372, 0.2338)
O (0.6020, 0.8682, 0.8649)
O (0.6173, 0.7269, 0.2246)
O (0.6173, 0.8927, 0.3903)
O (0.9951, 0.3348, 0.1603)

Most intense lines, 2θ = 10–80°, by angle:
two_theta  d (Å)  I_rel
23.17  3.838  9.6
26.57  3.355  9.3
30.75  2.908  37.3
31.47  2.843  100.0
31.68  2.824  38.0
37.36  2.407  24.9
44.10  2.054  8.7
44.73  2.026  36.8
45.46  1.995  7.8
55.13  1.666  18.8
56.30  1.634  21.6
58.60  1.575  9.8

(2)
Structure and simulated PXRD pattern of NiH12Br2O14 (DFT lattice parameters and positions (PBE+U); λ = 1.5418 Å (Cu Kα)).
Lines closer than 0.1° are merged.

Crystal structure
abc: 6.0531 8.1441 8.2260
angles: 60.91 89.63 89.23
Positions (direct):
Ni (0.0000, 0.0000, 0.0000)
H (0.1728, 0.9429, 0.5493)
H (0.1782, 0.5035, 0.9441)
H (0.1842, 0.5540, 0.5050)
H (0.2240, 0.9974, 0.7055)
H (0.2297, 0.7091, 0.2969)
H (0.2335, 0.2929, 0.9959)
H (0.7665, 0.7071, 0.0041)
H (0.7703, 0.2909, 0.7031)
H (0.7760, 0.0026, 0.2945)
H (0.8158, 0.4460, 0.4950)
H (0.8218, 0.4965, 0.0559)
H (0.8272, 0.0571, 0.4507)
Br (0.4380, 0.3236, 0.3343)
Br (0.5620, 0.6764, 0.6657)
O (0.1838, 0.0512, 0.5705)
O (0.1862, 0.3752, 0.0500)
O (0.1866, 0.5737, 0.3772)
O (0.2218, 0.9413, 0.1707)
O (0.2259, 0.1659, 0.8871)
O (0.2279, 0.8908, 0.9372)
O (0.2810, 0.6602, 0.6704)
O (0.7190, 0.3398, 0.3296)
O (0.7721, 0.1092, 0.0628)
O (0.7741, 0.8341, 0.1129)
O (0.7782, 0.0587, 0.8293)
O (0.8134, 0.4263, 0.6228)
O (0.8138, 0.6248, 0.9500)
O (0.8162, 0.9488, 0.4295)

Most intense lines, 2θ = 10–80°, by angle:
two_theta  d (Å)  I_rel
19.18  4.627  100.0
19.39  4.579  49.8
21.42  4.148  53.2
21.61  4.112  51.2
21.83  4.071  50.8
26.12  3.411  15.7
26.55  3.358  15.6
28.92  3.087  43.2
29.46  3.032  15.4
36.18  2.483  15.7
36.91  2.435  15.4
37.04  2.427  20.6

(3)
Structure and simulated PXRD pattern of TbCoO3 (DFT lattice parameters and positions (PBE+U); λ = 1.5418 Å (Cu Kα)).
Lines closer than 0.1° are merged.

Crystal structure
abc: 5.4682 7.4467 5.2026
angles: 90.00 90.00 90.00
Positions (direct):
Tb (0.0685, 0.2500, 0.0176)
Tb (0.4315, 0.7500, 0.5176)
Tb (0.5685, 0.2500, 0.4824)
Tb (0.9315, 0.7500, 0.9824)
Co (0.0000, 0.0000, 0.5000)
Co (0.0000, 0.5000, 0.5000)
Co (0.5000, 0.0000, 0.0000)
Co (0.5000, 0.5000, 0.0000)
O (0.0266, 0.7500, 0.4025)
O (0.2009, 0.5500, 0.8038)
O (0.2009, 0.9500, 0.8038)
O (0.2991, 0.0500, 0.3038)
O (0.2991, 0.4500, 0.3038)
O (0.4734, 0.2500, 0.9025)
O (0.5266, 0.7500, 0.0975)
O (0.7009, 0.5500, 0.6962)
O (0.7009, 0.9500, 0.6962)
O (0.7991, 0.0500, 0.1962)
O (0.7991, 0.4500, 0.1962)
O (0.9734, 0.2500, 0.5975)

Most intense lines, 2θ = 10–80°, by angle:
two_theta  d (Å)  I_rel
23.60  3.769  16.2
23.90  3.723  11.7
26.50  3.363  21.9
32.76  2.734  18.1
33.84  2.649  100.0
34.48  2.601  25.6
34.96  2.567  15.0
48.29  1.885  17.7
48.93  1.862  14.7
49.92  1.827  13.4
54.77  1.676  17.8
61.36  1.511  20.9

(4)
Structure and simulated PXRD pattern of MgV3CoSn2P6O24 (DFT lattice parameters and positions (PBE+U); λ = 1.5418 Å (Cu Kα)).
Lines closer than 0.1° are merged.

Crystal structure
abc: 8.6127 8.6127 9.1174
angles: 89.49 62.55 61.62
Positions (direct):
Mg (0.0000, 0.0000, 0.0000)
V (0.3806, 0.3595, 0.5114)
V (0.3875, 0.8659, 0.0279)
V (0.7821, 0.6742, 0.4089)
Co (0.6811, 0.2379, 0.9507)
Sn (0.0154, 0.0554, 0.5408)
Sn (0.1180, 0.4769, 0.9214)
P (0.2646, 0.5742, 0.2244)
P (0.3114, 0.7479, 0.7035)
P (0.5673, 0.0550, 0.7180)
P (0.5792, 0.9823, 0.2226)
P (0.8508, 0.2872, 0.2270)
P (0.8575, 0.4911, 0.7221)
O (0.0344, 0.6493, 0.2789)
O (0.0464, 0.0904, 0.1718)
O (0.0709, 0.4337, 0.7014)
O (0.1179, 0.9331, 0.7304)
O (0.2803, 0.5874, 0.6891)
O (0.2934, 0.7794, 0.8811)
O (0.2946, 0.7354, 0.1922)
O (0.2983, 0.5139, 0.3693)
O (0.3907, 0.4195, 0.0588)
O (0.4205, 0.2449, 0.7033)
O (0.4228, 0.0275, 0.8777)
O (0.4300, 0.9783, 0.1776)
O (0.4430, 0.1352, 0.3912)
O (0.5086, 0.7139, 0.5469)
O (0.6701, 0.3028, 0.3916)
O (0.6863, 0.6487, 0.8831)
O (0.6873, 0.9079, 0.5520)
O (0.7070, 0.7951, 0.2473)
O (0.7258, 0.0744, 0.7447)
O (0.7351, 0.0188, 0.0737)
O (0.8267, 0.2849, 0.0657)
O (0.8373, 0.3168, 0.7411)
O (0.8674, 0.5277, 0.5538)
O (0.8876, 0.4406, 0.2521)

Most intense lines, 2θ = 10–80°, by angle:
two_theta  d (Å)  I_rel
20.16  4.406  46.1
20.64  4.303  100.0
22.69  3.920  20.0
23.37  3.806  39.4
23.69  3.756  31.2
23.87  3.728  40.2
25.02  3.559  25.1
29.85  2.994  20.0
30.57  2.924  58.1
31.40  2.849  49.1
35.58  2.523  36.4
36.44  2.466  18.6

(5)
Structure and simulated PXRD pattern of FeAs2Pb4Cl4O8 (DFT lattice parameters and positions (PBE+U); λ = 1.5418 Å (Cu Kα)).
Lines closer than 0.1° are merged.

Crystal structure
abc: 5.5114 6.6090 10.3277
angles: 101.32 96.97 90.67
Positions (direct):
Fe (0.0000, 0.0000, 0.0000)
As (0.2057, 0.1843, 0.3067)
As (0.7943, 0.8157, 0.6933)
Pb (0.2428, 0.7025, 0.4536)
Pb (0.3066, 0.5971, 0.8366)
Pb (0.6934, 0.4029, 0.1634)
Pb (0.7572, 0.2975, 0.5464)
Cl (0.1506, 0.7077, 0.1307)
Cl (0.2731, 0.1361, 0.6158)
Cl (0.7269, 0.8639, 0.3842)
Cl (0.8494, 0.2923, 0.8693)
O (0.0231, 0.6330, 0.6394)
O (0.1699, 0.2102, 0.1345)
O (0.2729, 0.9530, 0.9145)
O (0.4639, 0.3635, 0.3569)
O (0.5361, 0.6365, 0.6431)
O (0.7271, 0.0470, 0.0855)
O (0.8301, 0.7898, 0.8655)
O (0.9769, 0.3670, 0.3606)

Most intense lines, 2θ = 10–80°, by angle:
two_theta  d (Å)  I_rel
13.67  6.476  57.0
21.65  4.104  87.0
22.97  3.872  57.7
25.55  3.486  61.3
27.02  3.300  82.1
30.50  2.931  81.7
30.65  2.917  44.6
31.60  2.832  45.4
32.46  2.759  69.9
32.65  2.743  64.2
32.80  2.731  100.0
43.78  2.068  59.4

(6)
Structure and simulated PXRD pattern of NiMoP2O9 (DFT lattice parameters and positions (PBE+U); λ = 1.5418 Å (Cu Kα)).
Lines closer than 0.1° are merged.

Crystal structure
abc: 14.0097 6.4394 8.0341
angles: 90.00 90.00 90.00
Positions (direct):
Ni (0.0000, 0.0000, 0.0000)
Ni (0.0000, 0.5000, 0.0000)
Ni (0.5000, 0.0000, 0.5000)
Ni (0.5000, 0.5000, 0.5000)
Mo (0.1252, 0.2500, 0.3548)
Mo (0.3748, 0.7500, 0.8548)
Mo (0.6252, 0.2500, 0.1452)
Mo (0.8748, 0.7500, 0.6452)
P (0.0568, 0.7500, 0.3406)
P (0.1824, 0.7500, 0.8946)
P (0.3176, 0.2500, 0.3946)
P (0.4432, 0.2500, 0.8406)
P (0.5568, 0.7500, 0.1594)
P (0.6824, 0.7500, 0.6054)
P (0.8176, 0.2500, 0.1054)
P (0.9432, 0.2500, 0.6594)
O (0.0185, 0.7500, 0.1637)
O (0.0231, 0.2500, 0.5261)
O (0.0597, 0.2500, 0.1638)
O (0.1202, 0.5573, 0.3725)
O (0.1202, 0.9427, 0.3725)
O (0.1261, 0.5495, 0.8981)
O (0.1261, 0.9505, 0.8981)
O (0.2312, 0.2500, 0.5246)
O (0.2464, 0.2500, 0.2338)
O (0.2536, 0.7500, 0.7338)
O (0.2688, 0.7500, 0.0246)
O (0.3739, 0.0495, 0.3981)
O (0.3739, 0.4505, 0.3981)
O (0.3798, 0.0573, 0.8725)
O (0.3798, 0.4427, 0.8725)
O (0.4403, 0.7500, 0.6638)
O (0.4769, 0.7500, 0.0261)
O (0.4815, 0.2500, 0.6637)
O (0.5185, 0.7500, 0.3363)
O (0.5231, 0.2500, 0.9739)
O (0.5597, 0.2500, 0.3362)
O (0.6202, 0.5573, 0.1275)
O (0.6202, 0.9427, 0.1275)
O (0.6261, 0.5495, 0.6019)
O (0.6261, 0.9505, 0.6019)
O (0.7312, 0.2500, 0.9754)
O (0.7464, 0.2500, 0.2662)
O (0.7536, 0.7500, 0.7662)
O (0.7688, 0.7500, 0.4754)
O (0.8739, 0.0495, 0.1019)
O (0.8739, 0.4505, 0.1019)
O (0.8798, 0.0573, 0.6275)
O (0.8798, 0.4427, 0.6275)
O (0.9403, 0.7500, 0.8362)
O (0.9769, 0.7500, 0.4739)
O (0.9815, 0.2500, 0.8363)

Most intense lines, 2θ = 10–80°, by angle:
two_theta  d (Å)  I_rel
12.64  7.002  66.0
16.79  5.280  90.8
17.65  5.025  53.0
18.76  4.731  100.0
21.77  4.083  32.5
23.03  3.861  83.4
27.74  3.216  35.7
29.33  3.045  34.0
30.58  2.923  64.7
31.13  2.873  26.7
32.57  2.749  33.6
33.91  2.644  32.2

(7)
Structure and simulated PXRD pattern of BaNaMnSnO6 (DFT lattice parameters and positions (PBE+U); λ = 1.5418 Å (Cu Kα)).
Lines closer than 0.1° are merged.

Crystal structure
abc: 5.6915 5.6915 5.6915
angles: 60.00 60.00 60.00
Positions (direct):
Ba (0.0000, 0.0000, 0.0000)
Na (0.5000, 0.5000, 0.5000)
Mn (0.7500, 0.7500, 0.7500)
Sn (0.2500, 0.2500, 0.2500)
O (0.5080, 0.5080, 0.9920)
O (0.5080, 0.9920, 0.5080)
O (0.5080, 0.9920, 0.9920)
O (0.9920, 0.5080, 0.5080)
O (0.9920, 0.5080, 0.9920)
O (0.9920, 0.9920, 0.5080)

Most intense lines, 2θ = 10–80°, by angle:
two_theta  d (Å)  I_rel
19.10  4.647  36.9
22.09  4.024  4.6
31.44  2.846  100.0
37.04  2.427  22.8
45.05  2.012  36.7
49.35  1.847  10.8
55.97  1.643  39.6
59.69  1.549  7.7
65.61  1.423  21.9
69.03  1.361  7.8
74.57  1.273  17.6
77.82  1.227  3.0